The following is a theoretical XRD peak list of BaLaP2O8. It was derived from the PBE geometry in Alexandria, using Cu Kα (λ = 1.5418 Å).

```
BaLaP2O8
1.0
5.5282 0.0000 0.0000
-2.7641 4.7876 0.0000
0.0000 0.0000 8.0099
Ba La P O
1 1 2 8
Direct
0.0000 0.0000 0.0000
0.0000 0.0000 0.5000
0.3333 0.6667 0.7706
0.6667 0.3333 0.2294
0.1753 0.3614 0.7060
0.1862 0.8247 0.7060
0.3333 0.6667 0.9638
0.3614 0.1862 0.2940
0.6386 0.8138 0.7060
0.6667 0.3333 0.0362
0.8138 0.1753 0.2940
0.8247 0.6386 0.2940
```

Main lines, sorted by position (10° ≤ 2θ ≤ 90°):
(1 0 0), 18.5°, I 97.6
(0 1 1), 21.6°, I 29.9
(1 0 2), 29.1°, I 100.0
(1 1 0), 32.4°, I 54.1
(2 -1 2), 39.6°, I 39.3
(0 2 2), 44.1°, I 44.6
(1 0 4), 49.3°, I 16.8
(1 2 0), 50.4°, I 18.2
(2 1 2), 55.7°, I 27.8
(1 1 4), 56.8°, I 20.5